# K2CdSb2
Calculated PXRD pattern, Cu Ka. Input: the GGA-PBE geometry in the Materials Project.
Peak positions follow from Bragg's law for the DFT cell and can differ from measured ones.

Top 10 peaks for 10° ≤ 2θ ≤ 80°, by angle:
2θ/deg, d_spacing, Rel. int.
25.36, 3.512, 100.0
25.96, 3.432, 28.2
27.56, 3.236, 21.9
36.17, 2.483, 38.7
37.80, 2.380, 36.9
42.25, 2.139, 30.7
46.07, 1.970, 20.5
49.92, 1.827, 18.7
58.79, 1.571, 17.9
69.23, 1.357, 19.8

Atomic structure:
abc: 3.512 3.512 16.181
angles: 90.00 90.00 90.00
Space group P4/mmm (No. 123)
Asymmetric unit:
K  0.000  0.000  0.121 [2 per cell]
Cd  0.000  0.000  0.500 [1 per cell]
Sb  0.000  0.000  0.330 [2 per cell]

***

# K6Cd4Sn3Se13
Calculated PXRD pattern, Cu Ka. Input: the GGA-PBE geometry in the Materials Project.
Peak positions follow from Bragg's law for the DFT cell and can differ from measured ones.

Top 10 peaks for 10° ≤ 2θ ≤ 80°, by angle:
2θ/deg, d_spacing, Rel. int.
14.48, 6.118, 69.7
26.07, 3.418, 65.8
26.69, 3.340, 100.0
27.57, 3.235, 57.6
28.62, 3.119, 51.3
30.01, 2.978, 46.1
35.31, 2.542, 65.6
38.99, 2.310, 65.5
47.47, 1.915, 58.5
47.84, 1.901, 45.4

Atomic structure:
abc: 15.2456 15.2456 16.2820
angles: 90.00 90.00 120.00
Space group R3m (No. 160, hexagonal axes)
Asymmetric unit:
K  0.0534  0.5267  0.0000 [9 per cell]
K  0.1908  0.3816  0.6511 [9 per cell]
Cd  0.0000  0.0000  0.0034 [3 per cell]
Cd  0.1977  0.0988  0.2096 [9 per cell]
Sn  0.0268  0.5134  0.7424 [9 per cell]
Se  0.0000  0.0000  0.1649 [3 per cell]
Se  0.0010  0.2915  0.1569 [18 per cell]
Se  0.0964  0.1928  0.9467 [9 per cell]
Se  0.1725  0.0863  0.3720 [9 per cell]

***

# K2CdSn
Calculated PXRD pattern, Cu Ka. Input: the GGA-PBE geometry in the Materials Project.
Peak positions follow from Bragg's law for the DFT cell and can differ from measured ones.

Top 10 peaks for 10° ≤ 2θ ≤ 80°, by angle:
2θ/deg, d_spacing, Rel. int.
13.01, 6.805, 57.3
16.08, 5.511, 100.0
18.77, 4.727, 63.8
26.35, 3.382, 43.0
29.71, 3.007, 91.0
30.20, 2.959, 57.9
32.08, 2.790, 37.3
34.27, 2.616, 58.6
38.07, 2.364, 67.9
47.95, 1.897, 36.5

Atomic structure:
abc: 6.571 8.651 11.022
angles: 90.00 90.00 90.00
Space group Ama2 (No. 40)
Asymmetric unit:
K  0.250  0.139  0.000 [4 per cell]
K  0.250  0.150  0.348 [4 per cell]
Cd  0.000  0.000  0.671 [4 per cell]
Sn  0.250  0.266  0.676 [4 per cell]

***

# K2Cd3Te4
Calculated PXRD pattern, Cu Ka. Input: the GGA-PBE geometry in the Materials Project.
Peak positions follow from Bragg's law for the DFT cell and can differ from measured ones.

Top 10 peaks for 10° ≤ 2θ ≤ 80°, by angle:
2θ/deg, d_spacing, Rel. int.
11.47, 7.714, 100.0
22.58, 3.938, 45.8
26.06, 3.420, 92.4
26.58, 3.353, 43.2
28.45, 3.137, 33.2
29.61, 3.017, 49.5
34.98, 2.565, 32.7
37.86, 2.377, 49.5
39.80, 2.265, 36.6
41.24, 2.189, 33.7

Atomic structure:
abc: 15.428 11.610 7.450
angles: 90.00 90.00 90.00
Space group Pnma (No. 62)
Asymmetric unit:
K  0.000  0.000  0.000 [4 per cell]
K  0.034  0.250  0.479 [4 per cell]
Cd  0.202  0.750  0.230 [4 per cell]
Cd  0.244  0.098  0.160 [8 per cell]
Te  0.134  0.533  0.386 [8 per cell]
Te  0.136  0.250  0.925 [4 per cell]
Te  0.145  0.750  0.869 [4 per cell]

***

# La2Cd17
Calculated PXRD pattern, Cu Ka. Input: the GGA-PBE geometry in the Materials Project.
Peak positions follow from Bragg's law for the DFT cell and can differ from measured ones.

Top 10 peaks for 10° ≤ 2θ ≤ 80°, by angle:
2θ/deg, d_spacing, Rel. int.
30.35, 2.945, 33.1
33.60, 2.667, 53.0
35.19, 2.551, 61.1
35.34, 2.540, 100.0
35.79, 2.509, 34.8
39.64, 2.274, 66.3
40.05, 2.251, 15.0
57.20, 1.610, 15.7
63.14, 1.473, 23.1
64.03, 1.454, 24.1

Atomic structure:
abc: 10.2025 10.2025 10.0354
angles: 90.00 90.00 120.00
Space group P6_3/mmc (No. 194)
Asymmetric unit:
La  0.0000  0.0000  0.2500 [2 per cell]
La  0.3333  0.6667  0.2500 [2 per cell]
Cd  0.0000  0.5000  0.0000 [6 per cell]
Cd  0.0386  0.3659  0.7500 [12 per cell]
Cd  0.1602  0.3204  0.0287 [12 per cell]
Cd  0.3333  0.6667  0.5985 [4 per cell]

***

# LaCd
Calculated PXRD pattern, Cu Ka. Input: the GGA-PBE geometry in the Materials Project.
Peak positions follow from Bragg's law for the DFT cell and can differ from measured ones.

Top 6 peaks for 10° ≤ 2θ ≤ 80°, by angle:
2θ/deg, d_spacing, Rel. int.
22.58, 3.938, 0.9
32.14, 2.785, 100.0
46.10, 1.969, 18.1
57.31, 1.608, 37.3
67.24, 1.392, 11.4
76.49, 1.245, 15.7

Atomic structure:
abc: 3.938 3.938 3.938
angles: 90.00 90.00 90.00
Space group Pm-3m (No. 221)
Asymmetric unit:
La  0.000  0.000  0.000 [1 per cell]
Cd  0.500  0.500  0.500 [1 per cell]

***

# LaMg6Cd
Calculated PXRD pattern, Cu Ka. Input: the GGA-PBE geometry in the Materials Project.
Peak positions follow from Bragg's law for the DFT cell and can differ from measured ones.

Top 10 peaks for 10° ≤ 2θ ≤ 80°, by angle:
2θ/deg, d_spacing, Rel. int.
14.99, 5.910, 59.0
17.13, 5.176, 45.4
22.84, 3.894, 48.0
30.25, 2.955, 20.5
30.97, 2.887, 39.0
32.10, 2.788, 19.8
34.66, 2.588, 33.4
34.96, 2.566, 52.5
35.60, 2.522, 100.0
47.16, 1.927, 23.9

Atomic structure:
abc: 5.176 6.618 11.820
angles: 90.00 90.00 90.00
Space group Amm2 (No. 38)
Asymmetric unit:
La  0.000  0.000  0.000 [2 per cell]
Mg  0.000  0.246  0.250 [4 per cell]
Mg  0.500  0.000  0.169 [2 per cell]
Mg  0.500  0.000  0.663 [2 per cell]
Mg  0.500  0.242  0.411 [4 per cell]
Cd  0.000  0.000  0.493 [2 per cell]

***

# LaMg14Cd
Calculated PXRD pattern, Cu Ka. Input: the GGA-PBE geometry in the Materials Project.
Peak positions follow from Bragg's law for the DFT cell and can differ from measured ones.

Top 10 peaks for 10° ≤ 2θ ≤ 80°, by angle:
2θ/deg, d_spacing, Rel. int.
15.55, 5.699, 17.7
17.11, 5.183, 14.6
17.76, 4.994, 26.5
23.20, 3.835, 15.1
31.45, 2.844, 30.8
32.65, 2.743, 18.4
34.61, 2.592, 23.9
36.02, 2.493, 100.0
47.46, 1.916, 19.1
62.94, 1.477, 18.2

Atomic structure:
abc: 10.367 6.556 11.399
angles: 90.00 90.00 90.00
Space group Amm2 (No. 38)
Asymmetric unit:
La  0.000  0.000  0.000 [2 per cell]
Mg  0.000  0.241  0.252 [4 per cell]
Mg  0.244  0.000  0.665 [4 per cell]
Mg  0.257  0.245  0.414 [8 per cell]
Mg  0.259  0.000  0.168 [4 per cell]
Mg  0.500  0.000  0.499 [2 per cell]
Mg  0.500  0.000  0.999 [2 per cell]
Mg  0.500  0.249  0.749 [4 per cell]
Cd  0.000  0.000  0.491 [2 per cell]

***

# LaMg14Cd
Calculated PXRD pattern, Cu Ka. Input: the GGA-PBE geometry in the Materials Project.
Peak positions follow from Bragg's law for the DFT cell and can differ from measured ones.

Top 10 peaks for 10° ≤ 2θ ≤ 80°, by angle:
2θ/deg, d_spacing, Rel. int.
15.55, 5.698, 51.9
23.23, 3.829, 43.4
31.40, 2.849, 30.9
32.25, 2.775, 18.5
34.71, 2.585, 23.6
35.99, 2.495, 100.0
47.50, 1.914, 19.0
55.90, 1.645, 17.3
63.05, 1.474, 18.1
67.50, 1.388, 18.9

Atomic structure:
abc: 6.5794 6.5794 10.3390
angles: 90.00 90.00 120.00
Space group P-6m2 (No. 187)
Asymmetric unit:
La  0.0000  0.0000  0.0000 [1 per cell]
Mg  0.0102  0.5051  0.0000 [3 per cell]
Mg  0.1686  0.3373  0.2571 [6 per cell]
Mg  0.5008  0.0016  0.5000 [3 per cell]
Mg  0.6667  0.3333  0.2460 [2 per cell]
Cd  0.0000  0.0000  0.5000 [1 per cell]